Diffraction record for Ba7Li2Pd2. The powder diffractogram is computed, not measured: it uses a crystal structure in Alexandria, relaxed with GGA-PBE and a wavelength of 1.5418 Å.

Crystal structure
```
data_Ba7Li2Pd2
_cell_length_a 13.023
_cell_length_b 9.472
_cell_length_c 8.229
_cell_angle_alpha 90.00
_cell_angle_beta 90.23
_cell_angle_gamma 90.00
_space_group_name_H-M_alt 'C 1 2/m 1'
_space_group_IT_number 12
loop_
_space_group_symop_operation_xyz
'x,y,z'
'-x,-y,-z'
'-x,y,-z'
'x,-y,z'
'x+1/2,y+1/2,z'
'-x+1/2,-y+1/2,-z'
'-x+1/2,y+1/2,-z'
'x+1/2,-y+1/2,z'
loop_
_atom_site_label
_atom_site_type_symbol
_atom_site_fract_x
_atom_site_fract_y
_atom_site_fract_z
_atom_site_occupancy
Ba1 Ba 0.000 0.000 0.000 1
Ba2 Ba 0.001 0.500 0.236 1
Ba3 Ba 0.250 0.250 0.251 1
Li1 Li 0.000 0.157 0.500 1
Pd1 Pd 0.211 0.500 0.000 1
```

The 10 most intense peaks (5 to 70 degrees two-theta), low angle first:
2θ 10.8, intensity 57
2θ 13.6, intensity 26
2θ 21.6, intensity 43
2θ 23.2, intensity 81
2θ 24.6, intensity 32
2θ 27.4, intensity 57
2θ 28.7, intensity 34
2θ 31.9, intensity 100
2θ 38.0, intensity 31
2θ 47.5, intensity 27